# 1
This entry pairs a crystal structure of La11Ga9Rh4 with its theoretical XRD peak list. Radiation: Cu Kα X-rays. Structure: the GGA-PBE geometry in Alexandria.
Lines closer than 0.1° are merged.

Most intense lines, 10° ≤ 2θ ≤ 80°, sorted by position:
hkl 4 0 0, 2θ = 24.87°, I 8.6
hkl 2 4 1, 2θ = 31.07°, I 13.2
hkl 3 3 1, 2θ = 32.26°, I 16.6
hkl 0 6 1, 2θ = 34.08°, I 100.0
hkl 4 6 0, 2θ = 35.45°, I 32.0
hkl 3 5 1, 2θ = 36.43°, I 24.5
hkl 1 9 0, 2θ = 38.21°, I 11.0
hkl 6 2 0, 2θ = 38.65°, I 9.7
hkl 0 0 2, 2θ = 46.86°, I 19.1
hkl 4 6 2, 2θ = 60.11°, I 13.6
hkl 6 2 2, 2θ = 62.31°, I 7.5
hkl 0 6 3, 2θ = 78.70°, I 9.6

Cell and atoms:
Unit cell a=14.3178 b=21.4925 c=3.8775 alpha=90.00 beta=90.00 gamma=90.00
Space group Cmmm (No. 65)
One atom of each set of equivalent atoms:
La: 0.0000 0.0000 0.0000 (multiplicity 2)
La: 0.0000 0.1663 0.0000 (multiplicity 4)
La: 0.0000 0.3743 0.0000 (multiplicity 4)
La: 0.1931 0.5000 0.0000 (multiplicity 4)
La: 0.2396 0.1738 0.0000 (multiplicity 8)
Ga: 0.0000 0.5000 0.5000 (multiplicity 2)
Ga: 0.0983 0.2684 0.5000 (multiplicity 8)
Ga: 0.1489 0.0692 0.5000 (multiplicity 8)
Rh: 0.1585 0.3970 0.5000 (multiplicity 8)



# 2
This entry pairs a crystal structure of Ca5Nd with its theoretical XRD peak list. Radiation: Cu Kα X-rays. Structure: the GGA-PBE geometry in Alexandria.
Lines closer than 0.1° are merged.

Most intense lines, 10° ≤ 2θ ≤ 80°, sorted by position:
hkl 0 0 3, 2θ = 13.84°, I 10.8
hkl 1 0 0, 2θ = 26.92°, I 27.8
hkl 1 0 1, 2θ = 27.32°, I 13.6
hkl 0 0 6, 2θ = 27.89°, I 26.9
hkl 1 0 2, 2θ = 28.51°, I 10.9
hkl 1 0 3, 2θ = 30.39°, I 100.0
hkl 1 0 6, 2θ = 39.15°, I 19.8
hkl 1 1 0, 2θ = 47.54°, I 17.6
hkl 1 0 9, 2θ = 50.93°, I 21.3
hkl 1 1 6, 2θ = 56.02°, I 20.7
hkl 2 0 3, 2θ = 57.47°, I 14.9
hkl 2 1 3, 2θ = 77.72°, I 11.7

Cell and atoms:
Unit cell a=3.8250 b=3.8250 c=19.1939 alpha=90.00 beta=90.00 gamma=120.00
Space group P-6m2 (No. 187)
One atom of each set of equivalent atoms:
Ca: 0.0000 0.0000 0.0000 (multiplicity 1)
Ca: 0.0000 0.0000 0.3396 (multiplicity 2)
Ca: 0.3333 0.6667 0.1696 (multiplicity 2)
Nd: 0.3333 0.6667 0.5000 (multiplicity 1)